Diffraction record for KCo4Os. The X-ray diffraction stick pattern is calculated, not measured: it uses a crystal structure in Alexandria, relaxed with PBE and CuKα.
Intensities are scaled so that the largest is 100.

Top 9 peaks for 2θ from 5° to 70°, sorted by position:
Position (°2θ)	d_spacing	Rel. int.
21.99	4.042	25
25.44	3.501	21
36.29	2.475	45
42.84	2.111	100
44.85	2.021	26
57.37	1.606	5
59.00	1.565	10
65.29	1.429	16
69.80	1.347	30

a = 4.9505 Å, b = 4.9505 Å, c = 4.9505 Å
α = 60.00°, β = 60.00°, γ = 60.00°
Fractional positions:
K: 0.0000 0.0000 0.0000
Co: 0.3767 0.3767 0.3767
Co: 0.3767 0.3767 0.8700
Co: 0.3767 0.8700 0.3767
Co: 0.8700 0.3767 0.3767
Os: 0.7500 0.7500 0.7500